KBiAu4: calculated X-ray diffraction stick pattern (Cu Kα X-rays), based on a GGA-PBE-relaxed structure.
Lines closer than 0.1° are merged.

Cell and atoms:
```
KBiAu4
1.0
0.000 4.074 4.074
4.074 0.000 4.074
4.074 4.074 0.000
K Bi Au
1 1 4
Direct
0.000 0.000 0.000
0.250 0.250 0.250
0.125 0.625 0.625
0.625 0.125 0.625
0.625 0.625 0.125
0.625 0.625 0.625
```

Main lines, in order of falling intensity (10 to 90 degrees two-theta):
36.58°, rel. 100
38.27°, rel. 57
58.90°, rel. 34
64.72°, rel. 31
18.86°, rel. 30
77.75°, rel. 23
31.05°, rel. 14
44.48°, rel. 13
76.70°, rel. 12
48.71°, rel. 9